No. 1
# La3Sm2Y3
Theoretical XRD peak list, Cu Kα (λ = 1.5418 Å). Input: a PBE-relaxed structure.
Intensities are scaled so that the largest is 1000.

Main lines, most intense first (2θ = 5–70°):
2θ 30.0, I 1000, hkl 1 1 4; 2θ 34.6, I 341, hkl 0 2 0; 2θ 59.1, I 285, hkl 1 3 4; 2θ 50.1, I 238, hkl 2 2 0; 2θ 35.1, I 166, hkl 2 0 0; 2θ 59.8, I 138, hkl 3 1 4; 2θ 62.3, I 122, hkl 2 2 8; 2θ 49.7, I 121, hkl 0 2 8; 2θ 17.8, I 23, hkl 1 0 1; 2θ 8.5, I 21, hkl 0 0 2

Crystal structure
a b c (Å): 5.119 5.192 20.748
angles (deg): 90.00 90.00 90.00
Space group Immm (No. 71)
One atom of each set of equivalent atoms:
La 0.000 0.000 0.000 x2
La 0.000 0.500 0.124 x4
Sm 0.000 0.000 0.249 x4
Y 0.000 0.000 0.500 x2
Y 0.000 0.500 0.373 x4



No. 2
# La2Sm12Y
Theoretical XRD peak list, Cu Kα (λ = 1.5418 Å). Input: a PBE-relaxed structure.
Intensities are scaled so that the largest is 1000.

Main lines, most intense first (2θ = 5–70°):
2θ 32.5, I 1000, hkl 0 2 8; 2θ 30.0, I 968, hkl 2 2 2; 2θ 30.9, I 813, hkl 0 4 0; 2θ 29.3, I 565, hkl 0 2 7; 2θ 36.4, I 505, hkl 2 2 6; 2θ 28.5, I 319, hkl 2 0 4; 2θ 60.5, I 231, hkl 4 4 0; 2θ 31.1, I 223, hkl 2 2 3; 2θ 42.6, I 219, hkl 2 4 4; 2θ 50.6, I 208, hkl 4 0 0

Crystal structure
a b c (Å): 7.217 11.568 25.106
angles (deg): 90.00 90.00 90.00
Space group Cmme (No. 67)
One atom of each set of equivalent atoms:
La 0.000 0.250 0.226 x4
La 0.000 0.250 0.767 x4
Sm 0.000 0.001 0.576 x8
Sm 0.000 0.024 0.060 x8
Sm 0.230 0.250 0.919 x8
Sm 0.249 0.250 0.374 x8
Sm 0.250 0.000 0.172 x8
Sm 0.250 0.000 0.301 x8
Y 0.000 0.250 0.500 x4



No. 3
# La3Sm3Y5
Theoretical XRD peak list, Cu Kα (λ = 1.5418 Å). Input: a PBE-relaxed structure.
Intensities are scaled so that the largest is 1000.

Main lines, most intense first (2θ = 5–70°):
2θ 31.9, I 1000, hkl 0 0 2; 2θ 32.3, I 949, hkl 2 1 1; 2θ 18.3, I 714, hkl 1 1 0; 2θ 26.5, I 399, hkl 2 0 1; 2θ 45.7, I 399, hkl 3 0 2; 2θ 41.9, I 364, hkl 3 1 1; 2θ 15.8, I 362, hkl 0 0 1; 2θ 37.0, I 252, hkl 1 1 2; 2θ 35.8, I 230, hkl 3 0 1; 2θ 49.9, I 217, hkl 3 2 1

Crystal structure
a b c (Å): 9.7219 9.7219 5.6142
angles (deg): 90.00 90.00 120.00
Space group P-62m (No. 189)
One atom of each set of equivalent atoms:
La 0.0000 0.4054 0.0000 x3
Sm 0.0000 0.2641 0.5000 x3
Y 0.0000 0.6305 0.5000 x3
Y 0.3333 0.6667 0.5000 x2



No. 4
# LaSm6Y8
Theoretical XRD peak list, Cu Kα (λ = 1.5418 Å). Input: a PBE-relaxed structure.
Intensities are scaled so that the largest is 1000.

Main lines, most intense first (2θ = 5–70°):
2θ 31.1, I 1000, hkl 3 -2 2; 2θ 31.9, I 293, hkl 1 0 7; 2θ 30.2, I 246, hkl 2 1 1; 2θ 36.4, I 137, hkl 0 3 3; 2θ 34.5, I 123, hkl 2 1 4; 2θ 54.8, I 123, hkl 5 -1 3; 2θ 52.4, I 113, hkl 0 3 9; 2θ 32.2, I 108, hkl 1 1 6; 2θ 59.6, I 89, hkl 5 -2 7; 2θ 23.3, I 85, hkl 2 -1 3

Crystal structure
a b c (Å): 9.1334 9.1334 20.9844
angles (deg): 90.00 90.00 120.00
Space group R-3 (No. 148, hexagonal axes)
One atom of each set of equivalent atoms:
La 0.0000 0.0000 0.0000 x3
Sm 0.0599 0.2458 0.7093 x18
Y 0.0000 0.0000 0.4229 x6
Y 0.0805 0.5559 0.8079 x18



No. 5
# La2SmY2
Theoretical XRD peak list, Cu Kα (λ = 1.5418 Å). Input: a PBE-relaxed structure.
Intensities are scaled so that the largest is 1000.

Main lines, most intense first (2θ = 5–70°):
2θ 30.1, I 1000, hkl 2 2 -2; 2θ 33.2, I 859, hkl 1 3 1; 2θ 31.1, I 756, hkl 1 1 -3; 2θ 29.2, I 754, hkl 1 1 2; 2θ 27.3, I 713, hkl 2 2 -1; 2θ 31.6, I 634, hkl 3 1 -1; 2θ 34.2, I 309, hkl 3 1 0; 2θ 29.7, I 305, hkl 1 3 0; 2θ 38.7, I 263, hkl 0 4 1; 2θ 48.5, I 246, hkl 4 0 -4

Crystal structure
a b c (Å): 8.903 9.693 9.043
angles (deg): 90.00 113.45 90.00
Space group C2/c (No. 15)
One atom of each set of equivalent atoms:
La 0.161 0.090 0.139 x8
Sm 0.000 0.202 0.750 x4
Y 0.000 0.500 0.000 x4
Y 0.250 0.250 0.500 x4



No. 6
# LaSm3Y8
Theoretical XRD peak list, Cu Kα (λ = 1.5418 Å). Input: a PBE-relaxed structure.
Intensities are scaled so that the largest is 1000.

Main lines, most intense first (2θ = 5–70°):
2θ 36.1, I 1000, hkl 3 1 2; 2θ 28.9, I 693, hkl 2 2 0; 2θ 31.3, I 536, hkl 0 0 4; 2θ 21.2, I 534, hkl 1 1 2; 2θ 43.1, I 461, hkl 2 2 4; 2θ 24.1, I 331, hkl 2 1 1; 2θ 44.4, I 297, hkl 4 0 2; 2θ 25.7, I 295, hkl 2 0 2; 2θ 56.0, I 277, hkl 5 1 2; 2θ 58.9, I 240, hkl 3 1 6

Crystal structure
a b c (Å): 8.743 8.743 11.425
angles (deg): 90.00 90.00 90.00
Space group I-42m (No. 121)
One atom of each set of equivalent atoms:
La 0.000 0.000 0.000 x2
Sm 0.000 0.000 0.500 x2
Sm 0.000 0.500 0.250 x4
Y 0.125 0.125 0.251 x8
Y 0.249 0.249 0.502 x8



No. 7
# La6Sm4Y
Theoretical XRD peak list, Cu Kα (λ = 1.5418 Å). Input: a PBE-relaxed structure.
Intensities are scaled so that the largest is 1000.

Main lines, most intense first (2θ = 5–70°):
2θ 29.9, I 1000, hkl 2 1 1; 2θ 28.2, I 533, hkl 1 1 4; 2θ 28.3, I 466, hkl 2 0 2; 2θ 29.6, I 346, hkl 1 0 5; 2θ 33.9, I 309, hkl 2 0 4; 2θ 37.1, I 297, hkl 1 1 6; 2θ 42.0, I 223, hkl 3 1 0; 2θ 48.4, I 215, hkl 3 0 5; 2θ 56.1, I 215, hkl 4 1 1; 2θ 39.9, I 215, hkl 2 1 5

Crystal structure
a b c (Å): 6.795 6.795 16.866
angles (deg): 90.00 90.00 90.00
Space group I-42m (No. 121)
One atom of each set of equivalent atoms:
La 0.000 0.500 0.000 x4
La 0.160 0.160 0.381 x8
Sm 0.181 0.181 0.184 x8
Y 0.000 0.000 0.000 x2



No. 8
# La2SmY4
Theoretical XRD peak list, Cu Kα (λ = 1.5418 Å). Input: a PBE-relaxed structure.
Intensities are scaled so that the largest is 1000.

Main lines, most intense first (2θ = 5–70°):
2θ 30.3, I 1000, hkl 4 0 -4; 2θ 30.1, I 768, hkl 5 1 -2; 2θ 33.9, I 573, hkl 0 2 2; 2θ 30.2, I 268, hkl 2 2 0; 2θ 56.1, I 261, hkl 2 4 -2; 2θ 33.6, I 239, hkl 2 0 2; 2θ 43.3, I 207, hkl 2 2 -4; 2θ 55.7, I 195, hkl 4 2 2; 2θ 29.9, I 160, hkl 4 0 0; 2θ 53.8, I 150, hkl 9 1 -6

Crystal structure
a b c (Å): 16.770 6.818 11.773
angles (deg): 90.00 134.52 90.00
Space group C2 (No. 5)
One atom of each set of equivalent atoms:
La 0.000 0.000 0.000 x2
La 0.000 0.001 0.500 x2
La 0.223 0.882 0.474 x4
Sm 0.225 0.883 0.974 x4
Y 0.001 0.670 0.751 x4
Y 0.003 0.223 0.753 x4
Y 0.152 0.516 0.150 x4
Y 0.154 0.514 0.655 x4



No. 9
# La4SmY15
Theoretical XRD peak list, Cu Kα (λ = 1.5418 Å). Input: a PBE-relaxed structure.
Intensities are scaled so that the largest is 1000.

Main lines, most intense first (2θ = 5–70°):
2θ 30.3, I 1000, hkl 1 1 5; 2θ 35.0, I 338, hkl 2 0 0; 2θ 59.9, I 276, hkl 3 1 5; 2θ 50.6, I 232, hkl 2 0 10; 2θ 35.3, I 164, hkl 0 0 10; 2θ 60.3, I 134, hkl 1 1 15; 2θ 50.4, I 118, hkl 2 2 0; 2θ 63.0, I 118, hkl 2 2 10; 2θ 17.3, I 25, hkl 1 0 0; 2θ 24.7, I 22, hkl 1 0 5

Crystal structure
a b c (Å): 5.123 5.123 25.411
angles (deg): 90.00 90.00 90.00
Space group P4/mmm (No. 123)
One atom of each set of equivalent atoms:
La 0.000 0.000 0.100 x2
La 0.000 0.000 0.300 x2
Sm 0.000 0.000 0.500 x1
Y 0.000 0.500 0.000 x2
Y 0.000 0.500 0.201 x4
Y 0.000 0.500 0.402 x4
Y 0.500 0.500 0.100 x2
Y 0.500 0.500 0.301 x2
Y 0.500 0.500 0.500 x1



No. 10
# LaSm3Y3
Theoretical XRD peak list, Cu Kα (λ = 1.5418 Å). Input: a PBE-relaxed structure.
Intensities are scaled so that the largest is 1000.

Main lines, most intense first (2θ = 5–70°):
2θ 31.4, I 1000, hkl 2 0 2; 2θ 29.0, I 529, hkl 3 0 0; 2θ 33.6, I 492, hkl 2 2 0; 2θ 15.6, I 289, hkl 1 0 1; 2θ 28.4, I 277, hkl 2 1 1; 2θ 35.8, I 243, hkl 1 2 2; 2θ 49.9, I 218, hkl 2 3 2; 2θ 37.2, I 186, hkl 1 3 1; 2θ 54.5, I 182, hkl 0 2 4; 2θ 62.9, I 144, hkl 5 2 0

Crystal structure
a b c (Å): 10.6643 10.6643 7.2316
angles (deg): 90.00 90.00 120.00
Space group R3m (No. 160, hexagonal axes)
One atom of each set of equivalent atoms:
La 0.0000 0.0000 0.0000 x3
Sm 0.1887 0.3774 0.8482 x9
Y 0.2099 0.4198 0.3128 x9



No. 11
# La5Sm5Y
Theoretical XRD peak list, Cu Kα (λ = 1.5418 Å). Input: a PBE-relaxed structure.
Intensities are scaled so that the largest is 1000.

Main lines, most intense first (2θ = 5–70°):
2θ 30.9, I 1000, hkl 0 2 2; 2θ 30.4, I 777, hkl 2 0 -1; 2θ 32.0, I 692, hkl 2 0 2; 2θ 31.3, I 619, hkl 2 2 1; 2θ 32.5, I 460, hkl 0 0 3; 2θ 33.1, I 240, hkl 1 -2 0; 2θ 31.5, I 198, hkl 1 2 -1; 2θ 30.6, I 182, hkl 1 1 -2; 2θ 43.2, I 156, hkl 2 -2 0; 2θ 24.2, I 143, hkl 1 -1 1

Crystal structure
a b c (Å): 7.062 7.121 8.633
angles (deg): 75.42 77.89 72.41
Space group P-1 (No. 2)
One atom of each set of equivalent atoms:
La 0.000 0.000 0.000 x1
La 0.335 0.767 0.646 x2
La 0.370 0.232 0.745 x2
Sm 0.149 0.634 0.355 x2
Sm 0.195 0.144 0.309 x2
Sm 0.500 0.500 0.000 x1
Y 0.000 0.500 0.000 x1



No. 12
# La2SmY3
Theoretical XRD peak list, Cu Kα (λ = 1.5418 Å). Input: a PBE-relaxed structure.
Intensities are scaled so that the largest is 1000.

Main lines, most intense first (2θ = 5–70°):
2θ 30.9, I 1000, hkl 2 0 2; 2θ 31.0, I 483, hkl 3 1 -1; 2θ 54.9, I 241, hkl 3 3 3; 2θ 55.0, I 188, hkl 4 4 0; 2θ 44.4, I 179, hkl 2 4 -2; 2θ 61.5, I 109, hkl 3 3 -5; 2θ 44.2, I 90, hkl 0 2 4; 2θ 64.3, I 90, hkl 4 0 4; 2θ 61.6, I 70, hkl 5 3 -3; 2θ 51.8, I 59, hkl 4 0 -4

Crystal structure
a b c (Å): 9.116 10.024 9.150
angles (deg): 90.00 101.24 90.00
Space group C2/c (No. 15)
One atom of each set of equivalent atoms:
La 0.124 0.249 0.126 x8
Sm 0.000 0.416 0.750 x4
Y 0.000 0.083 0.750 x4
Y 0.248 0.417 0.500 x8